[1]
LiNi2Os: theoretical powder diffraction line list (Cu Ka), based on DFT lattice parameters and positions (PBE).

Most intense lines, 10 to 90 degrees two-theta, most intense first:
(hkl), Position (°2θ), d [Å], I/Imax
1 1 1, 46.38, 1.958, 100.0
0 1 0, 21.11, 4.208, 70.8
0 0 1, 19.82, 4.478, 67.3
0 1 2, 45.91, 1.977, 43.1
1 0 1, 40.80, 2.212, 37.0
0 2 0, 42.99, 2.104, 35.7
0 0 2, 40.28, 2.239, 25.3
1 1 0, 41.48, 2.177, 25.3
1 2 1, 60.76, 1.524, 22.9
1 3 1, 81.21, 1.185, 18.8

Atomic structure:
Unit cell a=2.5436 b=4.2080 c=4.4785 alpha=90.00 beta=90.00 gamma=90.00
Space group Pmm2 (No. 25)
One atom of each set of equivalent atoms:
Li 0.0000 0.0000 0.0000 (multiplicity 1)
Ni 0.5000 0.0000 0.5125 (multiplicity 1)
Ni 0.5000 0.5000 0.8735 (multiplicity 1)
Os 0.0000 0.5000 0.3685 (multiplicity 1)

[2]
LiNi2Os: theoretical powder diffraction line list (Cu Ka), based on DFT lattice parameters and positions (PBE).

Most intense lines, 10 to 90 degrees two-theta, most intense first:
(hkl), Position (°2θ), d [Å], I/Imax
0 0 1, 10.29, 8.598, 100.0
1 1 2, 44.77, 2.024, 63.7
0 0 2, 20.66, 4.299, 37.3
0 2 0, 41.33, 2.185, 20.2
0 0 4, 42.03, 2.149, 18.7
1 1 0, 39.26, 2.295, 14.9
1 1 1, 40.70, 2.217, 14.6
1 3 2, 77.77, 1.228, 12.7
0 2 4, 60.42, 1.532, 12.5
1 1 6, 78.73, 1.215, 11.0

Atomic structure:
Unit cell a=2.6964 b=4.3691 c=8.5980 alpha=90.00 beta=90.00 gamma=90.00
Space group Cmm2 (No. 35)
One atom of each set of equivalent atoms:
Li 0.0000 0.0000 0.0000 (multiplicity 2)
Ni 0.0000 0.0000 0.4808 (multiplicity 2)
Ni 0.0000 0.5000 0.2466 (multiplicity 2)
Os 0.0000 0.5000 0.7303 (multiplicity 2)

[3]
Li2Ni6Os: theoretical powder diffraction line list (Cu Ka), based on DFT lattice parameters and positions (PBE).

Most intense lines, 10 to 90 degrees two-theta, most intense first:
(hkl), Position (°2θ), d [Å], I/Imax
2 0 0, 16.29, 5.442, 100.0
1 1 0, 12.92, 6.851, 75.2
1 1 2, 43.05, 2.101, 47.3
2 4 0, 44.34, 2.043, 36.6
3 3 -1, 43.81, 2.066, 32.0
1 1 -2, 42.04, 2.149, 27.0
4 2 1, 45.04, 2.013, 25.7
5 1 -1, 46.41, 1.957, 24.7
3 3 1, 45.30, 2.002, 24.4
6 0 0, 50.32, 1.813, 19.6

Atomic structure:
Unit cell a=10.9044 b=8.8163 c=4.4776 alpha=90.00 beta=93.56 gamma=90.00
Space group C2/c (No. 15)
One atom of each set of equivalent atoms:
Li 0.2024 0.0408 0.3391 (multiplicity 8)
Ni 0.0055 0.1335 0.0011 (multiplicity 8)
Ni 0.1127 0.3443 0.2645 (multiplicity 8)
Ni 0.1830 0.2430 0.7732 (multiplicity 8)
Os 0.0000 0.4050 0.7500 (multiplicity 4)

[4]
Li5Ni9P7: theoretical powder diffraction line list (Cu Ka), based on DFT lattice parameters and positions (PBE).

Most intense lines, 10 to 90 degrees two-theta, most intense first:
(hkl), Position (°2θ), d [Å], I/Imax
1 2 1, 39.24, 2.296, 100.0
1 1 0, 19.69, 4.510, 66.1
3 1 1, 48.89, 1.863, 60.7
2 0 0, 22.77, 3.905, 39.0
4 0 1, 53.19, 1.722, 38.2
0 0 2, 49.96, 1.825, 29.2
1 0 1, 26.96, 3.308, 27.7
4 1 0, 53.78, 1.704, 26.3
2 3 0, 50.96, 1.792, 23.9
4 1 2, 76.46, 1.246, 17.6

Atomic structure:
Unit cell a=9.0193 b=9.0193 c=3.6510 alpha=90.00 beta=90.00 gamma=120.00
Space group P-6 (No. 174)
One atom of each set of equivalent atoms:
Li 0.0000 0.0000 0.0000 (multiplicity 1)
Li 0.2197 0.4513 0.0000 (multiplicity 3)
Li 0.6667 0.3333 0.5000 (multiplicity 1)
Ni 0.0457 0.5472 0.5000 (multiplicity 3)
Ni 0.2774 0.0395 0.5000 (multiplicity 3)
Ni 0.3795 0.2751 0.0000 (multiplicity 3)
P 0.0322 0.7890 0.5000 (multiplicity 3)
P 0.3333 0.6667 0.5000 (multiplicity 1)
P 0.4601 0.0804 0.0000 (multiplicity 3)

[5]
Li2Ni3P2: theoretical powder diffraction line list (Cu Ka), based on DFT lattice parameters and positions (PBE).

Most intense lines, 10 to 90 degrees two-theta, most intense first:
(hkl), Position (°2θ), d [Å], I/Imax
2 0 -1, 21.21, 4.190, 100.0
1 1 2, 45.84, 1.980, 57.2
3 1 -1, 39.93, 2.258, 40.2
1 1 0, 27.62, 3.230, 37.9
0 2 0, 51.96, 1.760, 35.4
3 1 1, 50.05, 1.822, 16.2
3 1 -2, 44.09, 2.054, 15.0
3 1 -3, 53.43, 1.715, 12.9
2 2 -1, 56.71, 1.623, 11.9
0 0 1, 15.63, 5.671, 11.8

Atomic structure:
Unit cell a=8.8552 b=3.5213 c=6.1939 alpha=90.00 beta=113.70 gamma=90.00
Space group C2/m (No. 12)
One atom of each set of equivalent atoms:
Li 0.1434 0.0000 0.2821 (multiplicity 4)
Ni 0.0000 0.5000 0.5000 (multiplicity 2)
Ni 0.1338 0.5000 0.9378 (multiplicity 4)
P 0.1448 0.0000 0.7247 (multiplicity 4)

[6]
LiPmNiP2: theoretical powder diffraction line list (Cu Ka), based on DFT lattice parameters and positions (PBE).

Most intense lines, 10 to 90 degrees two-theta, most intense first:
(hkl), Position (°2θ), d [Å], I/Imax
1 1 1, 28.29, 3.154, 100.0
1 2 1, 39.69, 2.271, 83.3
0 1 2, 36.19, 2.482, 53.7
2 1 0, 37.90, 2.374, 45.6
2 0 2, 47.91, 1.899, 38.8
0 0 1, 16.05, 5.523, 31.6
1 0 1, 23.43, 3.797, 26.9
0 1 0, 15.64, 5.666, 25.2
0 2 0, 31.58, 2.833, 21.5
3 2 1, 65.06, 1.434, 19.0

Atomic structure:
Unit cell a=5.2293 b=5.6660 c=5.5226 alpha=90.00 beta=90.00 gamma=90.00
Space group Pmma (No. 51)
One atom of each set of equivalent atoms:
Li 0.2500 0.0000 0.0998 (multiplicity 2)
Pm 0.2500 0.5000 0.2664 (multiplicity 2)
Ni 0.0000 0.0000 0.5000 (multiplicity 2)
P 0.2500 0.2442 0.7360 (multiplicity 4)

[7]
Li2NiP2S6: theoretical powder diffraction line list (Cu Ka), based on DFT lattice parameters and positions (PBE).

Most intense lines, 10 to 90 degrees two-theta, most intense first:
(hkl), Position (°2θ), d [Å], I/Imax
1 1 1, 32.76, 2.733, 100.0
0 0 1, 12.96, 6.831, 73.9
1 0 0, 17.17, 5.166, 39.6
1 1 2, 40.14, 2.247, 34.0
3 0 0, 53.19, 1.722, 33.4
0 0 2, 26.09, 3.416, 19.7
1 0 1, 21.57, 4.120, 19.6
1 0 2, 31.40, 2.849, 19.4
2 -1 3, 50.42, 1.810, 18.9
1 0 3, 43.43, 2.084, 12.8

Atomic structure:
Unit cell a=5.9650 b=5.9650 c=6.8312 alpha=90.00 beta=90.00 gamma=120.00
Space group P312 (No. 149)
One atom of each set of equivalent atoms:
Li 0.0000 0.0000 0.0000 (multiplicity 1)
Li 0.3333 0.6667 0.5000 (multiplicity 1)
Ni 0.0000 0.0000 0.5000 (multiplicity 1)
P 0.6667 0.3333 0.3375 (multiplicity 2)
S 0.3225 0.0089 0.2708 (multiplicity 6)

[8]
LiSmNiP2: theoretical powder diffraction line list (Cu Ka), based on DFT lattice parameters and positions (PBE).

Most intense lines, 10 to 90 degrees two-theta, most intense first:
(hkl), Position (°2θ), d [Å], I/Imax
1 1 1, 28.38, 3.145, 100.0
1 2 1, 39.82, 2.264, 83.6
0 1 2, 36.34, 2.472, 54.2
2 1 0, 37.99, 2.369, 46.3
2 0 2, 48.07, 1.893, 38.7
0 0 1, 16.12, 5.500, 31.0
1 0 1, 23.50, 3.785, 28.0
0 1 0, 15.69, 5.649, 27.2
0 2 0, 31.68, 2.825, 21.8
3 2 1, 65.24, 1.430, 19.1

Atomic structure:
Unit cell a=5.2180 b=5.6491 c=5.4998 alpha=90.00 beta=90.00 gamma=90.00
Space group Pmma (No. 51)
One atom of each set of equivalent atoms:
Li 0.2500 0.0000 0.0992 (multiplicity 2)
Sm 0.2500 0.5000 0.2662 (multiplicity 2)
Ni 0.0000 0.0000 0.5000 (multiplicity 2)
P 0.2500 0.2468 0.7359 (multiplicity 4)

[9]
SrLiNiP2: theoretical powder diffraction line list (Cu Ka), based on DFT lattice parameters and positions (PBE).

Most intense lines, 10 to 90 degrees two-theta, most intense first:
(hkl), Position (°2θ), d [Å], I/Imax
1 1 1, 27.47, 3.247, 100.0
1 2 1, 38.29, 2.350, 79.2
0 0 1, 15.17, 5.840, 55.0
0 1 2, 34.26, 2.617, 48.8
2 0 2, 46.73, 1.944, 48.7
2 1 0, 37.76, 2.382, 41.8
0 1 1, 21.40, 4.151, 25.1
0 3 2, 56.39, 1.632, 23.6
0 2 0, 30.29, 2.951, 21.1
2 3 0, 58.82, 1.570, 20.0

Atomic structure:
Unit cell a=5.2097 b=5.9017 c=5.8403 alpha=90.00 beta=90.00 gamma=90.00
Space group Pmma (No. 51)
One atom of each set of equivalent atoms:
Sr 0.2500 0.0000 0.2325 (multiplicity 2)
Li 0.2500 0.5000 0.3833 (multiplicity 2)
Ni 0.0000 0.5000 0.0000 (multiplicity 2)
P 0.2500 0.2955 0.7576 (multiplicity 4)

[10]
LiTb2Ni12P3: theoretical powder diffraction line list (Cu Ka), based on DFT lattice parameters and positions (PBE).

Most intense lines, 10 to 90 degrees two-theta, most intense first:
(hkl), Position (°2θ), d [Å], I/Imax
2 2 0, 43.18, 2.095, 100.0
2 0 5, 46.02, 1.972, 36.8
0 2 4, 39.47, 2.283, 29.9
1 1 3, 31.26, 2.861, 29.7
1 0 1, 14.34, 6.175, 27.6
2 1 1, 33.55, 2.671, 17.5
0 0 3, 22.71, 3.916, 17.1
2 2 6, 65.21, 1.431, 16.6
6 0 0, 79.18, 1.210, 14.8
2 2 3, 49.33, 1.847, 13.4

Atomic structure:
Unit cell a=8.3809 b=8.3809 c=11.7474 alpha=90.00 beta=90.00 gamma=120.00
Space group R-3m (No. 166, hexagonal axes)
One atom of each set of equivalent atoms:
Li 0.0000 0.0000 0.0000 (multiplicity 3)
Tb 0.0000 0.0000 0.3471 (multiplicity 6)
Ni 0.0087 0.5043 0.6832 (multiplicity 18)
Ni 0.0141 0.5070 0.8841 (multiplicity 18)
P 0.0000 0.5000 0.5000 (multiplicity 9)

[11]
LiPuNiPb: theoretical powder diffraction line list (Cu Ka), based on DFT lattice parameters and positions (PBE).

Most intense lines, 10 to 90 degrees two-theta, most intense first:
(hkl), Position (°2θ), d [Å], I/Imax
2 2 0, 37.83, 2.378, 100.0
2 0 0, 26.50, 3.363, 64.6
4 2 2, 68.32, 1.373, 36.1
4 2 0, 61.67, 1.504, 26.7
2 2 2, 46.79, 1.942, 19.6
4 0 0, 54.57, 1.682, 17.6
6 0 0, 86.89, 1.121, 14.1
4 4 0, 80.83, 1.189, 11.5
1 1 1, 22.90, 3.883, 4.3
3 1 1, 44.68, 2.028, 2.1

Atomic structure:
Unit cell a=6.7263 b=6.7263 c=6.7263 alpha=90.00 beta=90.00 gamma=90.00
Space group F-43m (No. 216)
One atom of each set of equivalent atoms:
Li 0.0000 0.0000 0.0000 (multiplicity 4)
Pu 0.2500 0.2500 0.7500 (multiplicity 4)
Ni 0.0000 0.0000 0.5000 (multiplicity 4)
Pb 0.2500 0.2500 0.2500 (multiplicity 4)

[12]
LiNiPd3: theoretical powder diffraction line list (Cu Ka), based on DFT lattice parameters and positions (PBE).

Most intense lines, 10 to 90 degrees two-theta, most intense first:
(hkl), Position (°2θ), d [Å], I/Imax
2 0 1, 40.61, 2.222, 100.0
0 2 -1, 40.75, 2.214, 49.2
1 2 2, 41.07, 2.198, 47.5
2 2 0, 47.69, 1.907, 33.1
1 0 3, 46.63, 1.948, 32.7
-1 2 1, 47.94, 1.898, 29.7
0 1 1, 21.44, 4.145, 21.1
3 2 3, 69.23, 1.357, 18.4
1 1 1, 23.75, 3.746, 17.9
2 4 -1, 84.12, 1.151, 16.2

Atomic structure:
Unit cell a=4.6921 b=5.3530 c=6.1371 alpha=77.91 beta=74.75 gamma=73.37
Space group P1 (No. 1)
One atom of each set of equivalent atoms:
Li 0.0000 0.0000 0.0000 (multiplicity 1)
Li 0.2017 0.3070 0.5895 (multiplicity 1)
Ni 0.5878 0.4204 0.7966 (multiplicity 1)
Ni 0.7888 0.7105 0.4078 (multiplicity 1)
Pd 0.2075 0.7960 0.5884 (multiplicity 1)
Pd 0.3926 0.6093 0.1879 (multiplicity 1)
Pd 0.4210 0.1046 0.1855 (multiplicity 1)
Pd 0.6005 0.9141 0.7867 (multiplicity 1)
Pd 0.8010 0.2206 0.4086 (multiplicity 1)
Pd 0.9978 0.4974 0.9905 (multiplicity 1)

[13]
Li4NiPd: theoretical powder diffraction line list (Cu Ka), based on DFT lattice parameters and positions (PBE).

Most intense lines, 10 to 90 degrees two-theta, most intense first:
(hkl), Position (°2θ), d [Å], I/Imax
0 4 0, 24.15, 3.685, 100.0
2 4 0, 42.89, 2.109, 53.6
0 6 1, 42.52, 2.126, 20.4
2 6 1, 56.11, 1.639, 16.2
2 4 2, 61.92, 1.498, 11.5
2 10 1, 78.08, 1.224, 11.4
2 0 0, 34.89, 2.571, 11.2
0 0 2, 42.42, 2.131, 10.3
0 4 2, 49.43, 1.844, 9.2
0 12 0, 77.91, 1.226, 7.3

Atomic structure:
Unit cell a=5.1427 b=14.7173 c=4.2617 alpha=90.00 beta=90.00 gamma=90.00
Space group Cmcm (No. 63)
One atom of each set of equivalent atoms:
Li 0.2493 0.0416 0.2500 (multiplicity 8)
Li 0.2499 0.2083 0.2500 (multiplicity 8)
Ni 0.0000 0.1239 0.7500 (multiplicity 4)
Pd 0.0000 0.3743 0.2500 (multiplicity 4)